The following is a simulated X-ray diffraction stick pattern of Ba2Ti3O8. It was derived from a DFT-relaxed cell (GGA-PBE, the Materials Project), using Cu Kα (λ = 1.5418 Å).
Neutral-atom scattering factors, no anomalous dispersion.

Structural model:
abc: 3.949 3.949 11.945
angles: 90.00 90.00 90.00
Space group P4/mmm (No. 123)
Symmetry-distinct sites (fractional):
Ba (0.000, 0.000, 0.180) x2
Ti (0.500, 0.500, 0.000) x1
Ti (0.500, 0.500, 0.334) x2
O (0.000, 0.500, 0.000) x2
O (0.000, 0.500, 0.346) x4
O (0.500, 0.500, 0.174) x2

Top 6 peaks for 5° ≤ 2θ ≤ 70°, sorted by position:
Position (°2θ)	I/Imax	(hkl)
7.40	83	0 0 1
14.83	39	0 0 2
31.92	100	1 0 3
32.06	43	1 1 0
45.97	37	2 0 0
57.06	37	2 1 3

***

The following is a simulated X-ray diffraction stick pattern of La3UAl8. It was derived from a DFT-relaxed cell (GGA-PBE, the Materials Project), using Cu Kα (λ = 1.5418 Å).
Neutral-atom scattering factors, no anomalous dispersion.

Structural model:
abc: 5.6854 5.6854 27.9984
angles: 90.00 90.00 120.00
Space group R3m (No. 160, hexagonal axes)
Symmetry-distinct sites (fractional):
La (0.0000, 0.0000, 0.0000) x3
La (0.0000, 0.0000, 0.1265) x3
La (0.0000, 0.0000, 0.6230) x3
U (0.0000, 0.0000, 0.4997) x3
Al (0.0000, 0.0000, 0.3127) x3
Al (0.0000, 0.0000, 0.8128) x3
Al (0.0003, 0.5001, 0.5611) x9
Al (0.0035, 0.5018, 0.0636) x9

Top 6 peaks for 5° ≤ 2θ ≤ 70°, sorted by position:
Position (°2θ)	I/Imax	(hkl)
19.09	86	0 1 2
31.36	66	0 1 8
31.47	66	1 1 0
37.00	100	1 0 10
55.99	39	3 0 0
59.69	33	2 1 10